For Ca4CoSi8Ni3O24, a DFT-relaxed cell (GGA+U, the Materials Project) gives the simulated X-ray diffraction stick pattern in this record (CuKα).

Crystal structure
```
data_Ca4CoSi8Ni3O24
_cell_length_a 5.309
_cell_length_b 8.999
_cell_length_c 9.859
_cell_angle_alpha 90.00
_cell_angle_beta 105.22
_cell_angle_gamma 90.00
_space_group_name_H-M_alt 'P 1 2 1'
_space_group_IT_number 3
loop_
_space_group_symop_operation_xyz
'x,y,z'
'-x,y,-z'
loop_
_atom_site_label
_atom_site_type_symbol
_atom_site_fract_x
_atom_site_fract_y
_atom_site_fract_z
Ca1 Ca 0.000 0.000 0.000
Ca2 Ca 0.000 0.094 0.500
Ca3 Ca 0.500 0.500 0.500
Ca4 Ca 0.500 0.594 0.000
Co1 Co 0.000 0.705 0.500
Si1 Si 0.192 0.390 0.714
Si2 Si 0.192 0.704 0.213
Si3 Si 0.308 0.204 0.286
Si4 Si 0.309 0.890 0.787
Ni1 Ni 0.000 0.388 0.000
Ni2 Ni 0.500 0.206 0.000
Ni3 Ni 0.500 0.888 0.500
O1 O 0.107 0.316 0.349
O2 O 0.107 0.778 0.849
O3 O 0.209 0.548 0.137
O4 O 0.210 0.546 0.638
O5 O 0.223 0.209 0.116
O6 O 0.224 0.886 0.616
O7 O 0.277 0.385 0.884
O8 O 0.280 0.709 0.384
O9 O 0.291 0.046 0.863
O10 O 0.291 0.048 0.363
O11 O 0.393 0.278 0.651
O12 O 0.393 0.816 0.150
```

Most intense lines, 2θ from 10° to 90°, by intensity:
| 2θ (°) | I (rel.) | hkl |
| --- | --- | --- |
| 29.5 | 100 | 1 2 1 |
| 35.3 | 47 | 1 2 -3 |
| 35.2 | 44 | 2 0 -2 |
| 29.9 | 41 | 0 1 3 |
| 34.7 | 39 | 1 3 0 |
| 13.5 | 35 | 0 1 1 |
| 41.9 | 27 | 1 3 2 |
| 64.8 | 20 | 1 3 -6 |
| 56.0 | 18 | 3 2 -1 |
| 55.9 | 17 | 1 3 4 |

***

For LiCo3O2F6, a DFT-relaxed cell (GGA+U, the Materials Project) gives the simulated X-ray diffraction stick pattern in this record (CuKα).

Crystal structure
```
data_LiCo3O2F6
_cell_length_a 5.077
_cell_length_b 7.073
_cell_length_c 7.477
_cell_angle_alpha 78.97
_cell_angle_beta 89.58
_cell_angle_gamma 89.45
_space_group_name_H-M_alt 'P -1'
_space_group_IT_number 2
loop_
_space_group_symop_operation_xyz
'x,y,z'
'-x,-y,-z'
loop_
_atom_site_label
_atom_site_type_symbol
_atom_site_fract_x
_atom_site_fract_y
_atom_site_fract_z
Li1 Li 0.234 0.170 0.154
Co1 Co 0.240 0.168 0.673
Co2 Co 0.256 0.685 0.683
Co3 Co 0.283 0.661 0.184
O1 O 0.118 0.927 0.684
O2 O 0.408 0.424 0.701
F1 F 0.044 0.200 0.907
F2 F 0.081 0.425 0.189
F3 F 0.092 0.684 0.431
F4 F 0.406 0.206 0.427
F5 F 0.419 0.689 0.929
F6 F 0.426 0.923 0.191
```

Most intense lines, 2θ from 10° to 90°, by intensity:
| 2θ (°) | I (rel.) | hkl |
| --- | --- | --- |
| 24.3 | 100 | 0 0 2 |
| 30.1 | 79 | 1 0 -2 |
| 25.7 | 77 | 0 2 0 |
| 31.3 | 72 | 1 -2 0 |
| 31.1 | 65 | 1 2 0 |
| 30.0 | 62 | 1 0 2 |
| 40.6 | 48 | 2 -1 1 |
| 53.2 | 43 | 1 0 -4 |
| 40.9 | 43 | -1 1 3 |
| 53.6 | 40 | 2 2 -2 |